(1)
Theoretical powder diffractogram of Tb6PrSm4 for Cu Kα X-rays, from DFT lattice parameters and positions (GGA-PBE).
No peak broadening, texture or thermal motion is included.

Main lines, sorted by position (15 to 90 degrees two-theta):
| d (Å) | I/Imax |
| --- | --- |
| 3.169 | 40 |
| 3.101 | 65 |
| 3.049 | 27 |
| 2.931 | 100 |
| 2.859 | 29 |
| 2.628 | 74 |
| 2.443 | 30 |
| 2.352 | 29 |
| 2.248 | 37 |
| 1.606 | 36 |

Atomic structure:
```
Tb6PrSm4
1.0
-3.3256 3.3256 8.5777
3.3256 -3.3256 8.5777
3.3256 3.3256 -8.5777
Tb Pr Sm
6 1 4
Direct
0.0000 0.5000 0.5000
0.1940 0.1940 0.6432
0.4493 0.8060 0.0000
0.5000 0.0000 0.5000
0.5507 0.5507 0.3568
0.8060 0.4493 0.0000
0.0000 0.0000 0.0000
0.0132 0.6348 0.0000
0.3652 0.3652 0.3783
0.6348 0.0132 0.0000
0.9868 0.9868 0.6217
```

***

(2)
Theoretical powder diffractogram of Be2ZnHg for Cu Kα X-rays, from DFT lattice parameters and positions (GGA-PBE).
No peak broadening, texture or thermal motion is included.

Main lines, sorted by position (15 to 90 degrees two-theta):
| d (Å) | I/Imax |
| --- | --- |
| 3.028 | 19 |
| 2.975 | 17 |
| 2.699 | 100 |
| 2.141 | 36 |
| 2.122 | 56 |
| 2.015 | 21 |
| 1.738 | 15 |
| 1.455 | 19 |
| 1.320 | 22 |
| 1.233 | 20 |

Atomic structure:
```
Be2ZnHg
1.0
3.0281 0.0000 0.0000
0.0000 3.0281 0.0000
0.0000 0.0000 5.9498
Be Zn Hg
2 1 1
Direct
0.0000 0.0000 0.0000
0.5000 0.5000 0.1675
0.5000 0.5000 0.7781
0.0000 0.0000 0.4404
```